This entry pairs a crystal structure of Ce2HoPt9 with its theoretical X-ray powder pattern. Radiation: copper Kα. Structure: a PBE-relaxed structure.

Largest 10 diffraction maxima, low angle first, 2θ from 10° to 90°:
| hkl | d_spacing | 2θ (°) | Rel. int. |
| --- | --- | --- | --- |
| 1 0 1 | 4.616 | 19.23 | 24 |
| 1 1 0 | 2.705 | 33.12 | 20 |
| 0 2 1 | 2.334 | 38.58 | 31 |
| 1 1 6 | 2.317 | 38.87 | 100 |
| 0 0 12 | 2.244 | 40.19 | 29 |
| 0 1 11 | 2.170 | 41.63 | 19 |
| 2 0 5 | 2.148 | 42.06 | 46 |
| 0 3 6 | 1.475 | 63.02 | 25 |
| 2 2 0 | 1.352 | 69.50 | 27 |
| 2 2 12 | 1.158 | 83.45 | 24 |

Cell and atoms:
a = 5.4098 Å, b = 5.4098 Å, c = 26.9261 Å
α = 90.00°, β = 90.00°, γ = 120.00°
Space group R-3m (No. 166, hexagonal axes)
Asymmetric unit:
Ce 0.0000 0.0000 0.1387 (multiplicity 6)
Ho 0.0000 0.0000 0.0000 (multiplicity 3)
Pt 0.0000 0.0000 0.3329 (multiplicity 6)
Pt 0.0000 0.0000 0.5000 (multiplicity 3)
Pt 0.0032 0.5016 0.9154 (multiplicity 18)